Starting from a crystal structure in Alexandria, relaxed with GGA+U, the PXRD pattern of K3VH6C4O13 was calculated for copper Kα.

Largest 6 diffraction maxima, in order of rising 2θ, 10 to 90 degrees two-theta:
2θ (°)	d (Å)	I (rel.)	hkl
22.14	4.015	93.7	1 2 0
23.30	3.817	100.0	0 2 0
27.28	3.269	53.8	1 2 -2
28.29	3.154	54.4	0 2 2
31.22	2.865	85.7	-1 1 3
31.86	2.809	94.9	2 2 -2

Cell lengths 7.9912, 8.1455, 11.6723 Å; angles 89.54, 85.18, 69.44 degrees
Space group P-1 (No. 2)
One atom of each set of equivalent atoms:
K 0.0451 0.2270 0.0225
K 0.0859 0.4705 0.3304
K 0.3537 0.7700 0.7294
V 0.3334 0.3065 0.7960
H 0.0613 0.0694 0.7809
H 0.0957 0.7977 0.5044
H 0.1018 0.9681 0.2655
H 0.1111 0.1248 0.4957
H 0.3556 0.0718 0.2269
H 0.4019 0.1517 0.1114
C 0.3426 0.6367 0.1361
C 0.3856 0.7654 0.0491
C 0.4118 0.8331 0.4178
C 0.4169 0.3169 0.5493
O 0.0015 0.0165 0.2183
O 0.0096 0.2377 0.4973
O 0.1703 0.4829 0.8533
O 0.2000 0.6080 0.1343
O 0.2412 0.1504 0.7909
O 0.2853 0.8994 0.4943
O 0.2881 0.8306 0.9712
O 0.3039 0.3947 0.6361
O 0.3264 0.1820 0.1842
O 0.3931 0.3558 0.4478
O 0.4173 0.8753 0.3121
O 0.4670 0.5707 0.2039
O 0.4684 0.2043 0.9341